This entry pairs a crystal structure of Li4MnCo3P4O16 with its theoretical powder X-ray diffraction pattern. Radiation: Cu Kα (λ = 1.5418 Å). Structure: a DFT-relaxed cell (GGA+U, Alexandria).
No peak broadening, texture or thermal motion is included.

```
Li4MnCo3P4O16
1.0
4.7677 0.0000 0.0000
0.0000 6.0291 0.0000
-0.0176 0.0000 10.3572
Li Mn Co P O
4 1 3 4 16
direct
0.0000 0.2491 0.0000
0.0000 0.7509 0.0000
0.4978 0.2504 0.5075
0.4978 0.7496 0.5075
0.5166 0.5000 0.2242
0.0151 0.0000 0.2853
0.4858 0.0000 0.7812
0.9767 0.5000 0.7244
0.0781 0.5000 0.4137
0.4105 0.5000 0.9063
0.5861 0.0000 0.0969
0.9169 0.0000 0.6005
0.2044 0.5000 0.5523
0.2107 0.2944 0.3423
0.2107 0.7056 0.3423
0.2398 0.0000 0.6043
0.2648 0.0000 0.1046
0.2722 0.2946 0.8374
0.2722 0.7054 0.8374
0.2906 0.5000 0.0458
0.7014 0.0000 0.9560
0.7279 0.2028 0.1667
0.7279 0.7972 0.1667
0.7326 0.5000 0.9025
0.7563 0.5000 0.4120
0.7796 0.2045 0.6711
0.7796 0.7955 0.6711
0.7955 0.0000 0.4609
```

The 8 most intense peaks (2θ = 15–90°), sorted by position:
| Position (°2θ) | I/Imax | index |
| --- | --- | --- |
| 17.12 | 34 | 0 0 2 |
| 20.51 | 54 | 1 0 1 |
| 25.32 | 88 | 1 1 -1 |
| 29.63 | 62 | 0 2 0 |
| 32.01 | 25 | 1 0 3 |
| 35.38 | 100 | 1 1 -3 |
| 36.31 | 28 | 1 2 1 |
| 52.00 | 37 | 2 2 2 |